(1)
For PuNp3Pa2As6, the PBE geometry in Alexandria gives the simulated PXRD pattern in this record (Cu Kα, 1.54184 Å).
Peak positions follow from Bragg's law for the DFT cell and can differ from measured ones.

Structural model:
a b c (Å): 7.1464 12.3727 7.0964
angles (deg): 90.00 109.59 90.00
Space group C2/m (No. 12)
Asymmetric unit:
Pu: 0.0000 0.0000 0.0000 [2 per cell]
Np: 0.0000 0.1661 0.5000 [4 per cell]
Np: 0.0000 0.5000 0.5000 [2 per cell]
Pa: 0.0000 0.3334 0.0000 [4 per cell]
As: 0.2481 0.5000 0.2497 [4 per cell]
As: 0.2492 0.3324 0.7505 [8 per cell]

Largest 10 diffraction maxima, by angle, 2θ from 5° to 70°:
| Position (°2θ) | I/Imax |
| --- | --- |
| 26.49 | 349 |
| 26.67 | 114 |
| 30.73 | 1000 |
| 43.90 | 382 |
| 44.13 | 377 |
| 52.04 | 100 |
| 52.11 | 79 |
| 54.54 | 204 |
| 54.94 | 67 |
| 64.00 | 127 |

(2)
For Pm4YSe6, the PBE geometry in Alexandria gives the simulated PXRD pattern in this record (Cu Kα, 1.54184 Å).
Peak positions follow from Bragg's law for the DFT cell and can differ from measured ones.

Structural model:
a b c (Å): 11.8353 11.8353 14.0704
angles (deg): 90.00 90.00 120.00
Space group R-3c (No. 167, hexagonal axes)
Asymmetric unit:
Pm: 0.0000 0.0000 0.2500 [6 per cell]
Pm: 0.0000 0.3869 0.2500 [18 per cell]
Y: 0.0000 0.0000 0.0000 [6 per cell]
Se: 0.0299 0.2054 0.3850 [36 per cell]

Largest 10 diffraction maxima, by angle, 2θ from 5° to 70°:
| Position (°2θ) | I/Imax |
| --- | --- |
| 24.21 | 331 |
| 26.08 | 610 |
| 30.83 | 578 |
| 32.12 | 1000 |
| 34.44 | 719 |
| 35.89 | 932 |
| 46.45 | 426 |
| 56.04 | 288 |
| 65.07 | 282 |
| 69.54 | 316 |

(3)
For US3, the PBE geometry in Alexandria gives the simulated PXRD pattern in this record (Cu Kα, 1.54184 Å).
Peak positions follow from Bragg's law for the DFT cell and can differ from measured ones.

Structural model:
a b c (Å): 5.4197 3.9218 9.6485
angles (deg): 90.00 97.07 90.00
Space group P2_1/m (No. 11)
Asymmetric unit:
U: 0.2203 0.2500 0.3642 [2 per cell]
S: 0.0091 0.2500 0.8082 [2 per cell]
S: 0.2642 0.7500 0.5642 [2 per cell]
S: 0.3723 0.7500 0.1911 [2 per cell]

Largest 10 diffraction maxima, by angle, 2θ from 5° to 70°:
| Position (°2θ) | I/Imax |
| --- | --- |
| 9.24 | 1000 |
| 17.89 | 234 |
| 19.90 | 295 |
| 23.30 | 200 |
| 28.16 | 182 |
| 29.44 | 520 |
| 36.28 | 147 |
| 41.59 | 140 |
| 42.77 | 135 |
| 43.18 | 142 |

Please write out number 3 again, unchanged.
For US3, the PBE geometry in Alexandria gives the simulated PXRD pattern in this record (Cu Kα, 1.54184 Å).
Peak positions follow from Bragg's law for the DFT cell and can differ from measured ones.

Structural model:
a b c (Å): 5.4197 3.9218 9.6485
angles (deg): 90.00 97.07 90.00
Space group P2_1/m (No. 11)
Asymmetric unit:
U: 0.2203 0.2500 0.3642 [2 per cell]
S: 0.0091 0.2500 0.8082 [2 per cell]
S: 0.2642 0.7500 0.5642 [2 per cell]
S: 0.3723 0.7500 0.1911 [2 per cell]

Largest 10 diffraction maxima, by angle, 2θ from 5° to 70°:
| Position (°2θ) | I/Imax |
| --- | --- |
| 9.24 | 1000 |
| 17.89 | 234 |
| 19.90 | 295 |
| 23.30 | 200 |
| 28.16 | 182 |
| 29.44 | 520 |
| 36.28 | 147 |
| 41.59 | 140 |
| 42.77 | 135 |
| 43.18 | 142 |